1.
This entry pairs a crystal structure of Mg4Cd3Rh2 with its calculated powder XRD pattern. Radiation: Cu Ka. Structure: a structure optimized by DFT (GGA-PBE).
Kinematic intensities with the Lorentz-polarization factor, no thermal factor.

Main lines, by intensity (2θ = 10–80°):
Position (°2θ)  I_rel
37.17  100
37.77  97
41.32  37
43.49  32
26.81  31
20.50  28
45.72  27
25.24  23
61.54  22
33.08  22

a = 4.1621 Å, b = 4.9437 Å, c = 8.9591 Å
α = 102.51°, β = 90.05°, γ = 114.81°
Fractional positions:
Mg1 0.0077 0.0149 0.3186
Mg2 0.3312 0.6616 0.1105
Mg3 0.6688 0.3384 0.8895
Mg4 0.9923 0.9851 0.6814
Cd1 0.0000 0.0000 0.0000
Cd2 0.3328 0.6658 0.4385
Cd3 0.6672 0.3342 0.5615
Rh1 0.3286 0.6573 0.7844
Rh2 0.6714 0.3427 0.2156


2.
This entry pairs a crystal structure of CeYPdPt with its calculated powder XRD pattern. Radiation: Cu Ka. Structure: a structure optimized by DFT (GGA-PBE).
Kinematic intensities with the Lorentz-polarization factor, no thermal factor.

Main lines, by intensity (2θ = 10–80°):
Position (°2θ)  I_rel
31.89  100
40.06  85
39.22  35
33.63  33
39.08  26
52.61  20
48.45  19
64.02  17
71.65  15
66.52  14

a = 4.5940 Å, b = 3.7577 Å, c = 10.6591 Å
α = 90.00°, β = 90.00°, γ = 90.00°
Fractional positions:
Ce1 0.0000 0.0000 0.0000
Ce2 0.0000 0.5000 0.5000
Y1 0.5000 0.0000 0.2736
Y2 0.5000 0.5000 0.7736
Pd1 0.5000 0.0000 0.5473
Pd2 0.5000 0.5000 0.0473
Pt1 0.0000 0.0000 0.7259
Pt2 0.0000 0.5000 0.2259


3.
This entry pairs a crystal structure of La7HoTm3 with its calculated powder XRD pattern. Radiation: Cu Ka. Structure: a structure optimized by DFT (GGA-PBE).
Kinematic intensities with the Lorentz-polarization factor, no thermal factor.

Main lines, by intensity (2θ = 10–80°):
Position (°2θ)  I_rel
31.98  100
31.69  85
29.82  64
30.73  34
43.35  26
54.31  22
44.03  17
60.01  16
24.25  15
54.13  14

a = 8.6513 Å, b = 8.6513 Å, c = 8.6513 Å
α = 139.48°, β = 98.33°, γ = 95.45°
Fractional positions:
La1 0.0000 0.0000 0.0000
La2 0.0945 0.7861 0.3084
La3 0.2920 0.5000 0.7920
La4 0.4777 0.7861 0.6916
La5 0.5223 0.2139 0.3084
La6 0.7080 0.5000 0.2080
La7 0.9055 0.2139 0.6916
Ho1 0.0000 0.5000 0.5000
Tm1 0.2941 0.2941 0.0000
Tm2 0.5000 0.0000 0.5000
Tm3 0.7059 0.7059 0.0000


4.
This entry pairs a crystal structure of Pm2Th2Pb with its calculated powder XRD pattern. Radiation: Cu Ka. Structure: a structure optimized by DFT (GGA-PBE).
Kinematic intensities with the Lorentz-polarization factor, no thermal factor.

Main lines, by intensity (2θ = 10–80°):
Position (°2θ)  I_rel
29.83  100
39.82  34
32.99  29
66.17  25
20.95  21
61.92  21
35.12  19
52.64  16
51.73  14
42.66  14

a = 4.5281 Å, b = 4.5281 Å, c = 16.9610 Å
α = 90.00°, β = 90.00°, γ = 90.00°
Fractional positions:
Pm1 0.0000 0.0000 0.0881
Pm2 0.0000 0.0000 0.9119
Pm3 0.5000 0.5000 0.4119
Pm4 0.5000 0.5000 0.5881
Th1 0.0000 0.5000 0.2500
Th2 0.0000 0.5000 0.7500
Th3 0.5000 0.0000 0.2500
Th4 0.5000 0.0000 0.7500
Pb1 0.0000 0.0000 0.5000
Pb2 0.5000 0.5000 0.0000


5.
This entry pairs a crystal structure of La6PS4 with its calculated powder XRD pattern. Radiation: Cu Ka. Structure: a structure optimized by DFT (GGA-PBE).
Kinematic intensities with the Lorentz-polarization factor, no thermal factor.

Main lines, by intensity (2θ = 10–80°):
Position (°2θ)  I_rel
28.96  100
30.50  85
29.55  69
26.08  53
41.79  37
26.32  36
53.66  35
44.14  33
71.41  31
28.51  30

a = 7.1656 Å, b = 7.1656 Å, c = 20.7036 Å
α = 90.00°, β = 90.00°, γ = 146.72°
Fractional positions:
La1 0.0000 0.0000 0.0000
La2 0.0000 0.0000 0.5000
La3 0.1673 0.8327 0.7500
La4 0.2731 0.7269 0.0906
La5 0.2731 0.7269 0.4094
La6 0.4420 0.5580 0.6721
La7 0.4420 0.5580 0.8279
La8 0.5580 0.4420 0.1721
La9 0.5580 0.4420 0.3279
La10 0.7269 0.2731 0.5906
La11 0.7269 0.2731 0.9094
La12 0.8327 0.1673 0.2500
P1 0.1788 0.8212 0.2500
P2 0.8212 0.1788 0.7500
S1 0.0835 0.9165 0.6259
S2 0.0835 0.9165 0.8741
S3 0.3610 0.6390 0.5410
S4 0.3610 0.6390 0.9590
S5 0.6390 0.3610 0.0410
S6 0.6390 0.3610 0.4590
S7 0.9165 0.0835 0.1259
S8 0.9165 0.0835 0.3741


6.
This entry pairs a crystal structure of TbNdNiBr with its calculated powder XRD pattern. Radiation: Cu Ka. Structure: a structure optimized by DFT (GGA-PBE).
Kinematic intensities with the Lorentz-polarization factor, no thermal factor.

Main lines, by intensity (2θ = 10–80°):
Position (°2θ)  I_rel
32.29  100
45.35  44
30.07  38
47.25  24
26.01  22
56.76  20
11.47  19
58.48  17
75.47  17
26.87  16

a = 3.9991 Å, b = 3.9991 Å, c = 23.1370 Å
α = 90.00°, β = 90.00°, γ = 120.00°
Fractional positions:
Tb1 0.0000 0.0000 0.0000
Tb2 0.3333 0.6667 0.6667
Tb3 0.6667 0.3333 0.3333
Nd1 0.0000 0.0000 0.2057
Nd2 0.3333 0.6667 0.8724
Nd3 0.6667 0.3333 0.5391
Ni1 0.0000 0.0000 0.6050
Ni2 0.3333 0.6667 0.2717
Ni3 0.6667 0.3333 0.9383
Br1 0.0000 0.0000 0.4324
Br2 0.3333 0.6667 0.0991
Br3 0.6667 0.3333 0.7657